Starting from a DFT-relaxed cell (PBE, Alexandria), the powder diffractogram of Hf3NbNi2C was calculated for Cu Kα X-rays.
Lines closer than 0.1° are merged.

Structure:
```
data_Hf3NbNi2C
_chemical_formula_sum 'Hf6 Nb2 Ni4 C2'
_symmetry_space_group_name_H-M 'I m m m'
_symmetry_Int_Tables_number 71
_symmetry_space_group_name_Hall '-I 2 2'
_cell_length_a 4.265
_cell_length_b 4.381
_cell_length_c 12.637
_cell_angle_alpha 90.00
_cell_angle_beta 90.00
_cell_angle_gamma 90.00
loop_
_atom_site_label
_atom_site_type_symbol
_atom_site_fract_x
_atom_site_fract_y
_atom_site_fract_z
Hf1 Hf 0.000 0.000 0.000
Hf2 Hf 0.000 0.500 0.183
Nb1 Nb 0.000 0.000 0.500
Ni1 Ni 0.000 0.500 0.375
C1 C 0.000 0.500 0.000
```

Top 6 peaks for 5° ≤ 2θ ≤ 70°, low angle first:
hkl	2θ (°)	intensity
0 1 3	29.4	25
1 1 2	32.5	100
1 1 4	41.1	40
0 2 0	41.2	43
2 0 0	42.4	29
2 2 0	60.6	27

Starting from a DFT-relaxed cell (PBE, Alexandria), the powder diffractogram of V4CoIr7 was calculated for Cu Kα X-rays.
Lines closer than 0.1° are merged.

Structure:
```
data_V4CoIr7
_chemical_formula_sum 'V8 Co2 Ir14'
_symmetry_space_group_name_H-M 'C 1 2/m 1'
_symmetry_Int_Tables_number 12
_cell_length_a 11.917
_cell_length_b 4.396
_cell_length_c 9.022
_cell_angle_alpha 90.00
_cell_angle_beta 128.48
_cell_angle_gamma 90.00
loop_
_symmetry_equiv_pos_as_xyz
'x,y,z'
'-x,-y,-z'
'-x,y,-z'
'x,-y,z'
'x+1/2,y+1/2,z'
'-x+1/2,-y+1/2,-z'
'-x+1/2,y+1/2,-z'
'x+1/2,-y+1/2,z'
loop_
_atom_site_label
_atom_site_type_symbol
_atom_site_fract_x
_atom_site_fract_y
_atom_site_fract_z
V1 V 0.078 0.000 0.290
V2 V 0.214 0.000 0.842
Co1 Co 0.000 0.500 0.500
Ir1 Ir 0.000 0.000 0.500
Ir2 Ir 0.078 0.500 0.828
Ir3 Ir 0.145 0.000 0.080
Ir4 Ir 0.212 0.500 0.359
```

Top 6 peaks for 5° ≤ 2θ ≤ 70°, low angle first:
hkl	2θ (°)	intensity
1 1 -2	29.0	100
4 0 -1	32.1	53
0 2 0	41.1	49
2 0 -4	42.0	36
3 1 1	43.6	67
5 1 -3	44.0	62

Starting from a DFT-relaxed cell (PBE, Alexandria), the powder diffractogram of Pm7Tm2In2 was calculated for Cu Kα X-rays.
Lines closer than 0.1° are merged.

Structure:
```
data_Pm7Tm2In2
_chemical_formula_sum 'Pm14 Tm4 In4'
_symmetry_space_group_name_H-M 'C m m m'
_symmetry_Int_Tables_number 65
_symmetry_space_group_name_Hall '-C 2 2'
_cell_length_a 6.682
_cell_length_b 11.883
_cell_length_c 9.388
_cell_angle_alpha 90.00
_cell_angle_beta 90.00
_cell_angle_gamma 90.00
loop_
_atom_site_label
_atom_site_type_symbol
_atom_site_fract_x
_atom_site_fract_y
_atom_site_fract_z
Pm1 Pm 0.000 0.000 0.000
Pm2 Pm 0.000 0.500 0.186
Pm3 Pm 0.250 0.250 0.301
Tm1 Tm 0.244 0.000 0.500
In1 In 0.000 0.271 0.000
```

Top 6 peaks for 5° ≤ 2θ ≤ 70°, low angle first:
hkl	2θ (°)	intensity
2 0 1	28.4	84
0 4 0	30.1	85
0 2 3	32.3	79
1 3 2	32.5	40
2 2 2	36.3	100
2 4 1	41.8	55

Starting from a DFT-relaxed cell (PBE, Alexandria), the powder diffractogram of Zr2Sc7In3 was calculated for Cu Kα X-rays.
Lines closer than 0.1° are merged.

Structure:
```
data_Zr2Sc7In3
_chemical_formula_sum 'Zr2 Sc7 In3'
_symmetry_space_group_name_H-M 'P 1 2/m 1'
_symmetry_Int_Tables_number 10
_cell_length_a 5.170
_cell_length_b 3.170
_cell_length_c 17.249
_cell_angle_alpha 90.00
_cell_angle_beta 95.86
_cell_angle_gamma 90.00
loop_
_symmetry_equiv_pos_as_xyz
'x,y,z'
'-x,-y,-z'
'-x,y,-z'
'x,-y,z'
loop_
_atom_site_label
_atom_site_type_symbol
_atom_site_fract_x
_atom_site_fract_y
_atom_site_fract_z
Zr1 Zr 0.180 0.000 0.295
Sc1 Sc 0.134 0.500 0.145
Sc2 Sc 0.234 0.000 0.455
Sc3 Sc 0.352 0.000 0.803
Sc4 Sc 0.500 0.500 0.000
In1 In 0.000 0.000 0.000
In2 In 0.293 0.500 0.626
```

Top 6 peaks for 5° ≤ 2θ ≤ 70°, low angle first:
hkl	2θ (°)	intensity
0 0 3	15.5	56
1 0 -6	34.3	60
2 0 -1	34.7	79
0 1 4	35.2	68
1 1 2	35.4	100
1 0 6	37.5	69

Starting from a DFT-relaxed cell (PBE, Alexandria), the powder diffractogram of Mg4ZnCd7 was calculated for Cu Kα X-rays.
Lines closer than 0.1° are merged.

Structure:
```
data_Mg4ZnCd7
_chemical_formula_sum 'Mg4 Zn1 Cd7'
_symmetry_space_group_name_H-M 'P -1'
_symmetry_Int_Tables_number 2
_cell_length_a 5.138
_cell_length_b 6.315
_cell_length_c 8.544
_cell_angle_alpha 107.21
_cell_angle_beta 90.60
_cell_angle_gamma 95.10
loop_
_symmetry_equiv_pos_as_xyz
'x,y,z'
'-x,-y,-z'
loop_
_atom_site_label
_atom_site_type_symbol
_atom_site_fract_x
_atom_site_fract_y
_atom_site_fract_z
Mg1 Mg 0.226 0.115 0.245
Mg2 Mg 0.247 0.624 0.225
Zn1 Zn 0.000 0.500 0.500
Cd1 Cd 0.239 0.215 0.929
Cd2 Cd 0.256 0.011 0.581
Cd3 Cd 0.261 0.686 0.861
Cd4 Cd 0.500 0.500 0.500
```

Top 6 peaks for 5° ≤ 2θ ≤ 70°, low angle first:
hkl	2θ (°)	intensity
1 0 1	20.9	44
0 2 -1	28.5	100
0 2 1	34.8	35
1 -2 2	35.0	37
1 0 -3	36.8	38
1 0 3	38.1	40

Starting from a DFT-relaxed cell (PBE, Alexandria), the powder diffractogram of Tb7Sb2Rh2 was calculated for Cu Kα X-rays.
Lines closer than 0.1° are merged.

Structure:
```
data_Tb7Sb2Rh2
_chemical_formula_sum 'Tb14 Sb4 Rh4'
_symmetry_space_group_name_H-M 'C m m m'
_symmetry_Int_Tables_number 65
_symmetry_space_group_name_Hall '-C 2 2'
_cell_length_a 8.604
_cell_length_b 10.661
_cell_length_c 7.061
_cell_angle_alpha 90.00
_cell_angle_beta 90.00
_cell_angle_gamma 90.00
loop_
_atom_site_label
_atom_site_type_symbol
_atom_site_fract_x
_atom_site_fract_y
_atom_site_fract_z
Tb1 Tb 0.000 0.000 0.000
Tb2 Tb 0.000 0.500 0.237
Tb3 Tb 0.250 0.250 0.248
Sb1 Sb 0.202 0.000 0.500
Rh1 Rh 0.000 0.278 0.000
```

Top 6 peaks for 5° ≤ 2θ ≤ 70°, low angle first:
hkl	2θ (°)	intensity
2 0 1	24.2	37
2 2 0	26.6	42
1 1 2	28.6	36
0 4 0	33.6	53
2 2 2	37.0	100
1 3 2	37.4	29

Starting from a DFT-relaxed cell (PBE, Alexandria), the powder diffractogram of Er2ZrNi9 was calculated for Cu Kα X-rays.
Lines closer than 0.1° are merged.

Structure:
```
data_Er2ZrNi9
_chemical_formula_sum 'Er6 Zr3 Ni27'
_symmetry_space_group_name_H-M 'R -3 m'
_symmetry_Int_Tables_number 166
_symmetry_space_group_name_Hall '-R 3 2"'
_cell_length_a 4.8803
_cell_length_b 4.8803
_cell_length_c 24.2883
_cell_angle_alpha 90.00
_cell_angle_beta 90.00
_cell_angle_gamma 120.00
loop_
_atom_site_label
_atom_site_type_symbol
_atom_site_fract_x
_atom_site_fract_y
_atom_site_fract_z
Er1 Er 0.0000 0.0000 0.1377
Zr1 Zr 0.0000 0.0000 0.0000
Ni1 Ni 0.0000 0.0000 0.3334
Ni2 Ni 0.0000 0.0000 0.5000
Ni3 Ni 0.0011 0.5005 0.9183
```

Top 6 peaks for 5° ≤ 2θ ≤ 70°, low angle first:
hkl	2θ (°)	intensity
1 0 7	33.4	51
0 1 8	36.4	47
1 1 0	36.8	58
0 2 1	43.0	48
1 1 6	43.3	100
2 0 5	46.9	29

Starting from a DFT-relaxed cell (PBE, Alexandria), the powder diffractogram of LiNi22B6 was calculated for Cu Kα X-rays.
Lines closer than 0.1° are merged.

Structure:
```
data_LiNi22B6
_chemical_formula_sum 'Li4 Ni88 B24'
_symmetry_space_group_name_H-M 'F m -3 m'
_symmetry_Int_Tables_number 225
_symmetry_space_group_name_Hall '-F 4 2 3'
_cell_length_a 10.435
_cell_length_b 10.435
_cell_length_c 10.435
_cell_angle_alpha 90.00
_cell_angle_beta 90.00
_cell_angle_gamma 90.00
loop_
_atom_site_label
_atom_site_type_symbol
_atom_site_fract_x
_atom_site_fract_y
_atom_site_fract_z
Li1 Li 0.000 0.000 0.000
Ni1 Ni 0.000 0.169 0.169
Ni2 Ni 0.118 0.118 0.382
Ni3 Ni 0.250 0.250 0.250
B1 B 0.000 0.000 0.271
```

Top 6 peaks for 5° ≤ 2θ ≤ 70°, low angle first:
hkl	2θ (°)	intensity
4 2 0	38.6	41
4 2 2	42.4	25
3 3 3	45.1	100
4 4 0	49.4	20
5 3 1	51.8	44
6 2 2	58.7	12

Starting from a DFT-relaxed cell (PBE, Alexandria), the powder diffractogram of CeGdGe2 was calculated for Cu Kα X-rays.
Lines closer than 0.1° are merged.

Structure:
```
data_CeGdGe2
_chemical_formula_sum 'Ce4 Gd4 Ge8'
_symmetry_space_group_name_H-M 'F m -3 m'
_symmetry_Int_Tables_number 225
_symmetry_space_group_name_Hall '-F 4 2 3'
_cell_length_a 7.246
_cell_length_b 7.246
_cell_length_c 7.246
_cell_angle_alpha 90.00
_cell_angle_beta 90.00
_cell_angle_gamma 90.00
loop_
_atom_site_label
_atom_site_type_symbol
_atom_site_fract_x
_atom_site_fract_y
_atom_site_fract_z
Ce1 Ce 0.000 0.000 0.000
Gd1 Gd 0.000 0.000 0.500
Ge1 Ge 0.250 0.250 0.250
```

Top 6 peaks for 5° ≤ 2θ ≤ 70°, low angle first:
hkl	2θ (°)	intensity
2 0 0	24.6	13
2 2 0	35.0	100
2 2 2	43.3	4
4 0 0	50.4	18
4 2 0	56.8	5
4 2 2	62.8	36

Starting from a DFT-relaxed cell (PBE, Alexandria), the powder diffractogram of U2Tl2O7 was calculated for Cu Kα X-rays.
Lines closer than 0.1° are merged.

Structure:
```
data_U2Tl2O7
_chemical_formula_sum 'U2 Tl2 O7'
_symmetry_space_group_name_H-M 'P -1'
_symmetry_Int_Tables_number 2
_cell_length_a 4.335
_cell_length_b 7.235
_cell_length_c 7.417
_cell_angle_alpha 70.38
_cell_angle_beta 76.43
_cell_angle_gamma 89.25
loop_
_symmetry_equiv_pos_as_xyz
'x,y,z'
'-x,-y,-z'
loop_
_atom_site_label
_atom_site_type_symbol
_atom_site_fract_x
_atom_site_fract_y
_atom_site_fract_z
U1 U 0.165 0.498 0.205
Tl1 Tl 0.321 0.025 0.738
O1 O 0.000 0.500 0.500
O2 O 0.136 0.221 0.300
O3 O 0.198 0.778 0.111
O4 O 0.297 0.503 0.885
```

Top 6 peaks for 5° ≤ 2θ ≤ 70°, low angle first:
hkl	2θ (°)	intensity
1 1 1	24.1	55
0 2 0	26.3	100
1 -1 1	27.2	33
-1 1 1	27.8	44
0 2 2	30.2	28
-1 3 1	43.4	22

Starting from a DFT-relaxed cell (PBE, Alexandria), the powder diffractogram of RbLiBiI6 was calculated for Cu Kα X-rays.
Lines closer than 0.1° are merged.

Structure:
```
data_RbLiBiI6
_chemical_formula_sum 'Rb1 Li1 Bi1 I6'
_symmetry_space_group_name_H-M 'P 1'
_symmetry_Int_Tables_number 1
_cell_length_a 6.543
_cell_length_b 8.296
_cell_length_c 8.462
_cell_angle_alpha 100.39
_cell_angle_beta 103.36
_cell_angle_gamma 94.35
loop_
_symmetry_equiv_pos_as_xyz
'x,y,z'
loop_
_atom_site_label
_atom_site_type_symbol
_atom_site_fract_x
_atom_site_fract_y
_atom_site_fract_z
Rb1 Rb 0.000 0.000 0.000
Li1 Li 0.501 0.497 0.727
Bi1 Bi 0.638 0.506 0.242
I1 I 0.052 0.616 0.203
I2 I 0.345 0.238 0.416
I3 I 0.481 0.748 0.008
I4 I 0.516 0.241 0.912
I5 I 0.688 0.731 0.585
I6 I 0.847 0.232 0.421
```

Top 6 peaks for 5° ≤ 2θ ≤ 70°, low angle first:
hkl	2θ (°)	intensity
0 0 1	11.0	80
1 0 0	14.0	34
0 1 1	17.0	39
0 1 2	26.6	100
2 0 -1	27.6	30
0 1 -3	32.9	30

Starting from a DFT-relaxed cell (PBE, Alexandria), the powder diffractogram of Ni5P2 was calculated for Cu Kα X-rays.
Lines closer than 0.1° are merged.

Structure:
```
data_Ni5P2
_chemical_formula_sum 'Ni20 P8'
_symmetry_space_group_name_H-M 'C 1 2/c 1'
_symmetry_Int_Tables_number 15
_cell_length_a 11.728
_cell_length_b 5.692
_cell_length_c 4.819
_cell_angle_alpha 90.00
_cell_angle_beta 99.58
_cell_angle_gamma 90.00
loop_
_symmetry_equiv_pos_as_xyz
'x,y,z'
'-x,-y,-z'
'-x,y,-z+1/2'
'x,-y,z+1/2'
'x+1/2,y+1/2,z'
'-x+1/2,-y+1/2,-z'
'-x+1/2,y+1/2,-z+1/2'
'x+1/2,-y+1/2,z+1/2'
loop_
_atom_site_label
_atom_site_type_symbol
_atom_site_fract_x
_atom_site_fract_y
_atom_site_fract_z
Ni1 Ni 0.000 0.014 0.250
Ni2 Ni 0.087 0.371 0.982
Ni3 Ni 0.222 0.083 0.282
P1 P 0.110 0.248 0.552
```

Top 6 peaks for 5° ≤ 2θ ≤ 70°, low angle first:
hkl	2θ (°)	intensity
0 2 1	36.8	50
1 1 -2	40.7	75
2 2 1	41.4	86
5 1 0	42.2	100
4 2 0	44.7	47
4 0 -2	45.2	47